The following is a theoretical PXRD pattern of CsZn3P2. It was derived from a cell relaxed with PBE, using Cu Kα (λ = 1.5418 Å).

Structure:
Cell: 4.0517 8.1027 9.7621 Å, 105.13 101.92 104.20°
Fractional coordinates of all 12 atoms:
Cs: 0.0876 0.2259 0.4530
Cs: 0.9124 0.7741 0.5470
Zn: 0.0934 0.5115 0.1767
Zn: 0.3143 0.0370 0.0987
Zn: 0.3171 0.2298 0.9121
Zn: 0.6829 0.7702 0.0879
Zn: 0.6857 0.9630 0.9013
Zn: 0.9066 0.4885 0.8233
P: 0.2891 0.8323 0.2386
P: 0.4748 0.6354 0.8155
P: 0.5252 0.3646 0.1845
P: 0.7109 0.1677 0.7614

The 10 most intense peaks (10 to 90 degrees two-theta), by angle:
two_theta	d [Å]	I (rel.)
25.6	3.481	47
26.3	3.391	62
28.2	3.161	69
28.3	3.148	72
29.3	3.052	44
29.7	3.007	55
33.7	2.656	100
44.7	2.026	62
48.5	1.875	48
51.2	1.784	49

The following is a theoretical PXRD pattern of ZnCdSiIr. It was derived from a cell relaxed with PBE, using Cu Kα (λ = 1.5418 Å).

Structure:
Cell: 7.0088 7.0088 7.0088 Å, 157.31 146.99 40.43°
Fractional coordinates of all 4 atoms:
Zn: 0.0000 0.0000 0.0000
Cd: 0.3786 0.3786 0.0000
Si: 0.6788 0.1788 0.5000
Ir: 0.1767 0.6767 0.5000

The 10 most intense peaks (10 to 90 degrees two-theta), by angle:
two_theta	d [Å]	I (rel.)
13.5	6.577	22
23.3	3.812	98
27.1	3.289	38
38.6	2.334	54
41.1	2.194	69
42.2	2.143	100
45.6	1.991	26
48.8	1.866	21
61.2	1.515	28
70.8	1.331	24

The following is a theoretical PXRD pattern of Mg8TlHg3. It was derived from a cell relaxed with PBE, using Cu Kα (λ = 1.5418 Å).

Structure:
Cell: 8.2368 8.2311 6.6966 Å, 66.05 65.96 47.99°
Fractional coordinates of all 12 atoms:
Mg: 0.1182 0.6264 0.3736
Mg: 0.1184 0.6270 0.8816
Mg: 0.3730 0.8816 0.6270
Mg: 0.3736 0.8818 0.1182
Mg: 0.6264 0.1182 0.8818
Mg: 0.6270 0.1184 0.3730
Mg: 0.8816 0.3730 0.1184
Mg: 0.8818 0.3736 0.6264
Tl: 0.5000 0.5000 0.5000
Hg: 0.0000 0.0000 0.0000
Hg: 0.2500 0.2500 0.2500
Hg: 0.7500 0.7500 0.7500

The 10 most intense peaks (10 to 90 degrees two-theta), by angle:
two_theta	d [Å]	I (rel.)
23.0	3.874	100
26.5	3.368	10
26.6	3.348	19
37.9	2.374	56
38.0	2.365	11
44.7	2.029	18
44.9	2.020	35
46.9	1.937	9
60.1	1.541	15
85.7	1.133	9

The following is a theoretical PXRD pattern of TlBrOF2. It was derived from a cell relaxed with PBE, using Cu Kα (λ = 1.5418 Å).

Structure:
Cell: 4.8999 4.8999 3.7720 Å, 90.00 90.00 90.00°
Fractional coordinates of all 5 atoms:
Tl: 0.0000 0.0000 0.0000
Br: 0.5000 0.5000 0.5000
O: 0.5000 0.5000 0.0000
F: 0.0000 0.5000 0.5000
F: 0.5000 0.0000 0.5000

The 10 most intense peaks (10 to 90 degrees two-theta), by angle:
two_theta	d [Å]	I (rel.)
18.1	4.900	22
25.7	3.465	70
29.9	2.989	100
35.2	2.552	28
36.7	2.450	47
48.0	1.895	55
52.8	1.732	16
55.5	1.656	17
62.1	1.494	19
74.2	1.279	16

The following is a theoretical PXRD pattern of Y3Tl3Zn2. It was derived from a cell relaxed with PBE, using Cu Kα (λ = 1.5418 Å).

Structure:
Cell: 7.7254 7.7254 3.8709 Å, 90.00 90.00 120.00°
Fractional coordinates of all 8 atoms:
Y: 0.0000 0.3933 0.0000
Y: 0.3933 0.0000 0.0000
Y: 0.6067 0.6067 0.0000
Tl: 0.0000 0.7483 0.5000
Tl: 0.2517 0.2517 0.5000
Tl: 0.7483 0.0000 0.5000
Zn: 0.3333 0.6667 0.5000
Zn: 0.6667 0.3333 0.5000

The 10 most intense peaks (10 to 90 degrees two-theta), by angle:
two_theta	d [Å]	I (rel.)
23.0	3.867	43
26.6	3.349	17
32.8	2.734	92
35.5	2.529	100
40.4	2.230	19
42.7	2.117	35
47.0	1.935	19
54.9	1.673	18
60.2	1.536	54
65.4	1.427	23

The following is a theoretical PXRD pattern of PuSi. It was derived from a cell relaxed with PBE, using Cu Kα (λ = 1.5418 Å).

Structure:
Cell: 7.9617 3.8559 5.6860 Å, 90.00 90.00 90.00°
Fractional coordinates of all 8 atoms:
Pu: 0.1791 0.2500 0.1081
Pu: 0.3209 0.7500 0.6081
Pu: 0.6791 0.2500 0.3919
Pu: 0.8209 0.7500 0.8919
Si: 0.0315 0.2500 0.6215
Si: 0.4685 0.7500 0.1215
Si: 0.5315 0.2500 0.8785
Si: 0.9685 0.7500 0.3785

The 10 most intense peaks (10 to 90 degrees two-theta), by angle:
two_theta	d [Å]	I (rel.)
22.3	3.981	29
27.3	3.261	28
28.0	3.191	38
30.2	2.962	100
32.3	2.770	61
33.5	2.677	67
36.1	2.490	30
37.4	2.405	42
52.8	1.733	40
59.0	1.564	41

The following is a theoretical PXRD pattern of Sm7Er12Zr. It was derived from a cell relaxed with PBE, using Cu Kα (λ = 1.5418 Å).

Structure:
Cell: 8.6393 8.6393 8.6393 Å, 92.73 92.73 92.73°
Fractional coordinates of all 20 atoms:
Sm: 0.0000 0.0000 0.0000
Sm: 0.1323 0.3731 0.4509
Sm: 0.3731 0.4509 0.1323
Sm: 0.4509 0.1323 0.3731
Sm: 0.5491 0.8677 0.6269
Sm: 0.6269 0.5491 0.8677
Sm: 0.8677 0.6269 0.5491
Er: 0.0369 0.3361 0.9388
Er: 0.0612 0.9631 0.6639
Er: 0.2189 0.7603 0.3662
Er: 0.2397 0.6338 0.7811
Er: 0.3361 0.9388 0.0369
Er: 0.3662 0.2189 0.7603
Er: 0.6338 0.7811 0.2397
Er: 0.6639 0.0612 0.9631
Er: 0.7603 0.3662 0.2189
Er: 0.7811 0.2397 0.6338
Er: 0.9388 0.0369 0.3361
Er: 0.9631 0.6639 0.0612
Zr: 0.5000 0.5000 0.5000

The 10 most intense peaks (10 to 90 degrees two-theta), by angle:
two_theta	d [Å]	I (rel.)
23.5	3.779	21
30.1	2.974	21
30.4	2.939	100
31.1	2.873	33
32.4	2.767	81
32.5	2.753	23
33.4	2.685	41
35.6	2.520	14
38.5	2.337	13
56.5	1.629	15

The following is a theoretical PXRD pattern of Cr5Bi6Se16. It was derived from a cell relaxed with PBE, using Cu Kα (λ = 1.5418 Å).

Structure:
Cell: 9.5979 9.5979 11.6681 Å, 91.77 91.77 141.43°
Fractional coordinates of all 27 atoms:
Cr: 0.0000 0.0000 0.0000
Cr: 0.1937 0.7935 0.0052
Cr: 0.3992 0.6007 0.0024
Cr: 0.6007 0.3992 0.0024
Cr: 0.7935 0.1937 0.0052
Bi: 0.2390 0.5628 0.3436
Bi: 0.2556 0.9173 0.6504
Bi: 0.5628 0.2390 0.3436
Bi: 0.6138 0.6138 0.6805
Bi: 0.9109 0.9109 0.3605
Bi: 0.9173 0.2556 0.6504
Se: 0.0270 0.0270 0.6086
Se: 0.0877 0.2898 0.1225
Se: 0.1019 0.5020 0.8851
Se: 0.1443 0.8129 0.4001
Se: 0.2898 0.0877 0.1225
Se: 0.3187 0.3187 0.8831
Se: 0.3452 0.6801 0.5999
Se: 0.4769 0.8806 0.1255
Se: 0.4847 0.4847 0.4102
Se: 0.5020 0.1019 0.8851
Se: 0.6801 0.3452 0.5999
Se: 0.6932 0.6932 0.1200
Se: 0.7124 0.9065 0.8773
Se: 0.8129 0.1443 0.4001
Se: 0.8806 0.4769 0.1255
Se: 0.9065 0.7124 0.8773

The 10 most intense peaks (10 to 90 degrees two-theta), by angle:
two_theta	d [Å]	I (rel.)
20.4	4.364	61
22.2	4.000	90
23.0	3.872	62
28.6	3.120	62
29.6	3.020	82
30.6	2.923	61
30.8	2.904	80
31.0	2.889	97
37.7	2.384	100
41.6	2.170	62

Please write out number 2 again, unchanged.
The following is a theoretical PXRD pattern of ZnCdSiIr. It was derived from a cell relaxed with PBE, using Cu Kα (λ = 1.5418 Å).

Structure:
Cell: 7.0088 7.0088 7.0088 Å, 157.31 146.99 40.43°
Fractional coordinates of all 4 atoms:
Zn: 0.0000 0.0000 0.0000
Cd: 0.3786 0.3786 0.0000
Si: 0.6788 0.1788 0.5000
Ir: 0.1767 0.6767 0.5000

The 10 most intense peaks (10 to 90 degrees two-theta), by angle:
two_theta	d [Å]	I (rel.)
13.5	6.577	22
23.3	3.812	98
27.1	3.289	38
38.6	2.334	54
41.1	2.194	69
42.2	2.143	100
45.6	1.991	26
48.8	1.866	21
61.2	1.515	28
70.8	1.331	24

Please write out number 7 again, unchanged.
The following is a theoretical PXRD pattern of Sm7Er12Zr. It was derived from a cell relaxed with PBE, using Cu Kα (λ = 1.5418 Å).

Structure:
Cell: 8.6393 8.6393 8.6393 Å, 92.73 92.73 92.73°
Fractional coordinates of all 20 atoms:
Sm: 0.0000 0.0000 0.0000
Sm: 0.1323 0.3731 0.4509
Sm: 0.3731 0.4509 0.1323
Sm: 0.4509 0.1323 0.3731
Sm: 0.5491 0.8677 0.6269
Sm: 0.6269 0.5491 0.8677
Sm: 0.8677 0.6269 0.5491
Er: 0.0369 0.3361 0.9388
Er: 0.0612 0.9631 0.6639
Er: 0.2189 0.7603 0.3662
Er: 0.2397 0.6338 0.7811
Er: 0.3361 0.9388 0.0369
Er: 0.3662 0.2189 0.7603
Er: 0.6338 0.7811 0.2397
Er: 0.6639 0.0612 0.9631
Er: 0.7603 0.3662 0.2189
Er: 0.7811 0.2397 0.6338
Er: 0.9388 0.0369 0.3361
Er: 0.9631 0.6639 0.0612
Zr: 0.5000 0.5000 0.5000

The 10 most intense peaks (10 to 90 degrees two-theta), by angle:
two_theta	d [Å]	I (rel.)
23.5	3.779	21
30.1	2.974	21
30.4	2.939	100
31.1	2.873	33
32.4	2.767	81
32.5	2.753	23
33.4	2.685	41
35.6	2.520	14
38.5	2.337	13
56.5	1.629	15